Record 1
For CaTb2Pr3Se6, a DFT-relaxed cell (PBE, Alexandria) gives the calculated X-ray diffraction stick pattern in this record (Cu Kα, 1.54184 Å).

Main lines, in order of rising 2θ (2θ = 10–90°):
d (Å), Position (°2θ), Rel. int.
3.405, 26.2, 8
2.966, 30.1, 100
2.116, 42.7, 37
2.079, 43.5, 36
1.743, 52.5, 7
1.702, 53.9, 19
1.483, 62.6, 12
1.335, 70.5, 11
1.317, 71.6, 16
1.207, 79.4, 12

Cell and atoms:
```
12
Lattice="3.600 -6.238 0.000 3.600 6.238 0.000 -2.389 0.000 6.973" Properties=species:S:1:pos:R:3 pbc="T T T"
Ca 0.000 0.000 0.000
Tb 3.600 2.083 0.000
Tb 3.600 -2.083 0.000
Pr 2.406 4.180 3.487
Pr 2.406 0.000 3.487
Pr 2.406 -4.180 3.487
Se 1.205 2.084 1.647
Se 0.012 0.000 5.351
Se 1.205 -2.084 1.647
Se 3.607 2.084 5.326
Se 4.800 0.000 1.623
Se 3.607 -2.084 5.326
```

Record 2
For CaPrTh2Se4, a DFT-relaxed cell (PBE, Alexandria) gives the calculated X-ray diffraction stick pattern in this record (Cu Kα, 1.54184 Å).

Main lines, in order of rising 2θ (2θ = 10–90°):
d (Å), Position (°2θ), Rel. int.
7.133, 12.4, 17
3.399, 26.2, 15
2.978, 30.0, 100
2.148, 42.1, 13
2.142, 42.2, 26
2.071, 43.7, 24
2.065, 43.8, 12
1.697, 54.0, 13
1.489, 62.4, 12
1.350, 69.7, 13

Cell and atoms:
```
8
Lattice="7.182 0.000 0.000 0.000 4.131 0.000 -2.377 0.000 7.133" Properties=species:S:1:pos:R:3 pbc="T T T"
Ca 0.000 0.000 0.000
Pr 3.591 2.065 0.000
Th -1.188 2.065 3.567
Th 2.402 0.000 3.567
Se 1.156 2.065 1.732
Se -0.035 0.000 5.370
Se 4.840 0.000 1.763
Se 3.649 2.065 5.402
```

Record 3
For Ca3Pr2YSe6, a DFT-relaxed cell (PBE, Alexandria) gives the calculated X-ray diffraction stick pattern in this record (Cu Kα, 1.54184 Å).

Main lines, in order of rising 2θ (2θ = 10–90°):
d (Å), Position (°2θ), Rel. int.
6.952, 12.7, 13
3.565, 25.0, 10
2.973, 30.1, 100
2.115, 42.8, 37
2.089, 43.3, 36
1.709, 53.6, 19
1.486, 62.5, 12
1.336, 70.5, 16
1.323, 71.3, 10
1.211, 79.1, 12

Cell and atoms:
```
12
Lattice="3.620 -6.263 0.000 3.620 6.263 0.000 -2.419 0.000 6.952" Properties=species:S:1:pos:R:3 pbc="T T T"
Ca 0.000 0.000 0.000
Ca 3.620 2.117 0.000
Ca 3.620 -2.117 0.000
Pr 2.411 4.185 3.476
Pr 2.411 -4.185 3.476
Y 2.411 0.000 3.476
Se 1.240 2.032 1.708
Se 0.066 0.000 5.250
Se 1.240 -2.032 1.708
Se 3.583 2.032 5.244
Se 4.756 0.000 1.702
Se 3.583 -2.032 5.244
```